Starting from a crystal structure in Alexandria, relaxed with PBE+U, the X-ray diffraction stick pattern of NaTbMn4O12 was computed for Cu Kα, 1.54184 Å.
Intensities are scaled so that the largest is 100.

Main lines, by angle (10° ≤ 2θ ≤ 80°):
2θ = 11.69°, intensity 51; 2θ = 16.71°, intensity 48; 2θ = 20.44°, intensity 100; 2θ = 33.64°, intensity 97; 2θ = 33.80°, intensity 49; 2θ = 39.82°, intensity 35; 2θ = 48.55°, intensity 50; 2θ = 60.36°, intensity 36

Atomic structure:
abc: 5.304 5.304 7.570
angles: 90.00 90.00 90.00
Positions (direct):
Na 0.000 0.000 0.000
Tb 0.500 0.500 0.500
Mn 0.000 0.500 0.242
Mn 0.000 0.500 0.758
Mn 0.500 0.000 0.242
Mn 0.500 0.000 0.758
O 0.000 0.500 0.000
O 0.000 0.500 0.500
O 0.261 0.261 0.272
O 0.261 0.261 0.728
O 0.261 0.739 0.272
O 0.261 0.739 0.728
O 0.500 0.000 0.000
O 0.500 0.000 0.500
O 0.739 0.261 0.272
O 0.739 0.261 0.728
O 0.739 0.739 0.272
O 0.739 0.739 0.728